This entry pairs a crystal structure of Nb4Ir5Ru4 with its simulated powder diffraction line list. Radiation: Cu Kα (weighted mean of Kα1 and Kα2). Structure: the PBE geometry in Alexandria.

Structure:
Cell lengths 7.4117, 7.4117, 7.4117 Å; angles 94.01, 94.01, 149.33 degrees
Positions (direct):
Nb  0.1378  0.2305  0.3683
Nb  0.2305  0.8622  0.0928
Nb  0.7695  0.1378  0.9072
Nb  0.8622  0.7695  0.6317
Ir  0.0000  0.0000  0.0000
Ir  0.3084  0.4576  0.7660
Ir  0.4576  0.6916  0.1493
Ir  0.5424  0.3084  0.8507
Ir  0.6916  0.5424  0.2340
Ru  0.0769  0.6063  0.6833
Ru  0.3937  0.0769  0.4706
Ru  0.6063  0.9231  0.5294
Ru  0.9231  0.3937  0.3167

Largest 10 diffraction maxima, low angle first, 2θ = 15–90°:
two_theta	intensity
17.55	4
30.17	4
39.52	100
45.77	32
46.32	16
66.73	10
67.15	21
80.41	23
81.21	12
85.08	11

This entry pairs a crystal structure of La2Ga3Cu4Au with its simulated powder diffraction line list. Radiation: Cu Kα (weighted mean of Kα1 and Kα2). Structure: the PBE geometry in Alexandria.

Structure:
Cell lengths 4.3366, 4.3366, 10.1495 Å; angles 90.00, 90.00, 90.00 degrees
Positions (direct):
La  0.0000  0.5000  0.2447
La  0.5000  0.0000  0.7553
Ga  0.0000  0.5000  0.8791
Ga  0.5000  0.0000  0.1209
Ga  0.5000  0.5000  0.5000
Cu  0.0000  0.0000  0.0000
Cu  0.0000  0.5000  0.6393
Cu  0.5000  0.0000  0.3607
Cu  0.5000  0.5000  0.0000
Au  0.0000  0.0000  0.5000

Largest 10 diffraction maxima, low angle first, 2θ = 15–90°:
two_theta	intensity
33.60	47
34.16	100
41.65	55
46.45	15
49.58	18
54.54	23
60.37	18
62.73	15
66.70	14
71.23	23